Calculated XRD peak list of NaMgMnO2 for Cu Kα, 1.54184 Å, from DFT lattice parameters and positions (GGA+U).
Intensities are scaled so that the largest is 100.

Main lines, sorted by position (5 to 70 degrees two-theta):
- (1 1 0), 22.1 deg, rel. 100
- (1 1 -1), 26.2 deg, rel. 99
- (2 0 0), 29.6 deg, rel. 30
- (0 0 2), 30.6 deg, rel. 24
- (0 2 0), 33.1 deg, rel. 70
- (2 0 -2), 41.3 deg, rel. 29
- (2 0 2), 44.8 deg, rel. 27
- (2 2 0), 45.0 deg, rel. 19
- (2 2 -2), 53.9 deg, rel. 25
- (2 2 2), 56.8 deg, rel. 24

Cell and atoms:
Unit cell a=6.0584 b=5.4129 c=5.8557 alpha=90.00 beta=94.47 gamma=90.00
Space group C2/m (No. 12)
Symmetry-distinct sites (fractional):
Na 0.0000 0.0000 0.0000
Mg 0.0000 0.5000 0.0000
Mn 0.0000 0.5000 0.5000
O 0.1970 0.5000 0.7719